# 1
Calculated XRD peak list of SrAl4Si2N8O for Cu Kα X-rays, from a structure optimized by DFT (PBE).
Intensities are scaled so that the largest is 100.

Structural model:
Cell: 7.1407 7.1407 7.1407 Å, 107.03 88.52 137.14°
Fractional coordinates of all 16 atoms:
Sr (0.0000, 0.0000, 0.0000)
Al (0.1878, 0.0480, 0.5215)
Al (0.1878, 0.6663, 0.1399)
Al (0.5264, 0.0480, 0.8601)
Al (0.5264, 0.6663, 0.4785)
Si (0.0152, 0.3569, 0.6583)
Si (0.6986, 0.3569, 0.3417)
N (0.3151, 0.0865, 0.7714)
N (0.3151, 0.5436, 0.2286)
N (0.3711, 0.6818, 0.6893)
N (0.4799, 0.0363, 0.1170)
N (0.4799, 0.3629, 0.4436)
N (0.9194, 0.0363, 0.5564)
N (0.9194, 0.3629, 0.8830)
N (0.9926, 0.6818, 0.3107)
O (0.8018, 0.3018, 0.5000)

Top 10 peaks for 10° ≤ 2θ ≤ 90°, low angle first:
two_theta	Rel. int.
19.10	24
19.97	22
26.57	27
27.30	18
28.21	76
28.47	100
31.34	17
37.11	26
40.31	30
63.97	16



# 2
Calculated XRD peak list of Y2AlSiNO5 for Cu Kα X-rays, from a structure optimized by DFT (PBE).
Intensities are scaled so that the largest is 100.

Structural model:
Cell: 4.0494 4.4258 27.4487 Å, 94.58 91.59 104.79°
Fractional coordinates of all 30 atoms:
Y (0.0000, 0.0000, 0.0000)
Y (0.0014, 0.7617, 0.7930)
Y (0.0292, 0.0719, 0.1338)
Y (0.0991, 0.4648, 0.3249)
Y (0.1545, 0.5529, 0.4651)
Y (0.9647, 0.6779, 0.6596)
Al (0.3567, 0.2617, 0.5700)
Al (0.4119, 0.6564, 0.8998)
Al (0.4935, 0.0133, 0.2385)
Si (0.6481, 0.1927, 0.7277)
Si (0.6705, 0.8620, 0.3954)
Si (0.6774, 0.5086, 0.0651)
N (0.1033, 0.0330, 0.2697)
N (0.4239, 0.6009, 0.6107)
N (0.9384, 0.2258, 0.3954)
O (0.2493, 0.1412, 0.5100)
O (0.2589, 0.8547, 0.3964)
O (0.2789, 0.9450, 0.7278)
O (0.3060, 0.2613, 0.0659)
O (0.4468, 0.8822, 0.9535)
O (0.4767, 0.7148, 0.8403)
O (0.5300, 0.0340, 0.1767)
O (0.6459, 0.6271, 0.3435)
O (0.6508, 0.5645, 0.7278)
O (0.6826, 0.8810, 0.0647)
O (0.6886, 0.6868, 0.4470)
O (0.8277, 0.1508, 0.6745)
O (0.8443, 0.4601, 0.0110)
O (0.8569, 0.2109, 0.7815)
O (0.8928, 0.5284, 0.1180)

Top 10 peaks for 10° ≤ 2θ ≤ 90°, low angle first:
two_theta	Rel. int.
19.49	42
20.81	97
22.75	59
26.77	52
27.66	100
29.38	85
29.61	62
30.87	65
34.77	39
42.86	41